Record 1
For Li2PmSi2Au2, a cell relaxed with PBE gives the theoretical powder XRD pattern in this record (Cu Ka).
Neutral-atom scattering factors, no anomalous dispersion.

The 6 most intense peaks (5 to 70 degrees two-theta), low angle first:
3.657 Å, intensity 33, (1 0 1); 3.538 Å, intensity 81, (0 1 2); 2.938 Å, intensity 77, (0 1 5); 2.525 Å, intensity 100, (1 0 7); 2.136 Å, intensity 73, (1 1 0); 1.466 Å, intensity 28, (1 1 12)

Cell and atoms:
Cell: 4.2721 4.2721 24.1806 Å, 90.00 90.00 120.00°
Space group R-3m (No. 166, hexagonal axes)
Symmetry-distinct sites (fractional):
Li1 0.0000 0.0000 0.1414
Pm1 0.0000 0.0000 0.0000
Si1 0.0000 0.0000 0.2534
Au1 0.0000 0.0000 0.4268

Record 2
For LiPmSm2Au4, a cell relaxed with PBE gives the theoretical powder XRD pattern in this record (Cu Ka).
Neutral-atom scattering factors, no anomalous dispersion.

The 6 most intense peaks (5 to 70 degrees two-theta), low angle first:
3.606 Å, intensity 9, (1 0 4); 2.550 Å, intensity 100, (1 1 0); 1.803 Å, intensity 18, (2 0 8); 1.613 Å, intensity 4, (1 1 12); 1.473 Å, intensity 28, (3 0 0); 1.470 Å, intensity 8, (1 0 16)

Cell and atoms:
Cell: 5.1034 5.1034 24.9457 Å, 90.00 90.00 120.00°
Space group R-3m (No. 166, hexagonal axes)
Symmetry-distinct sites (fractional):
Li1 0.0000 0.0000 0.0000
Pm1 0.0000 0.0000 0.5000
Sm1 0.0000 0.0000 0.2577
Au1 0.0000 0.0000 0.1255
Au2 0.0000 0.0000 0.3788

Record 3
For Li7PrAu4, a cell relaxed with PBE gives the theoretical powder XRD pattern in this record (Cu Ka).
Neutral-atom scattering factors, no anomalous dispersion.

The 6 most intense peaks (5 to 70 degrees two-theta), low angle first:
6.525 Å, intensity 28, (2 0 -1); 4.386 Å, intensity 35, (1 1 0); 3.249 Å, intensity 26, (3 1 -1); 3.116 Å, intensity 100, (1 1 -2); 2.414 Å, intensity 31, (0 2 0); 2.204 Å, intensity 50, (5 1 -1)

Cell and atoms:
Cell: 13.289 4.828 8.681 Å, 90.00 127.84 90.00°
Space group C2/m (No. 12)
Symmetry-distinct sites (fractional):
Li1 0.000 0.000 0.000
Li2 0.060 0.500 0.416
Li3 0.178 0.000 0.622
Li4 0.219 0.500 0.871
Pr1 0.000 0.500 0.000
Au1 0.061 0.000 0.776
Au2 0.195 0.000 0.342

Record 4
For Li6PrAu2, a cell relaxed with PBE gives the theoretical powder XRD pattern in this record (Cu Ka).
Neutral-atom scattering factors, no anomalous dispersion.

The 6 most intense peaks (5 to 70 degrees two-theta), low angle first:
11.178 Å, intensity 100, (0 0 1); 2.865 Å, intensity 17, (1 1 0); 2.775 Å, intensity 18, (1 1 1); 2.743 Å, intensity 21, (1 0 3); 2.300 Å, intensity 19, (1 0 4); 1.520 Å, intensity 10, (2 1 4)

Cell and atoms:
Cell: 4.052 4.052 11.178 Å, 90.00 90.00 90.00°
Space group P4/mmm (No. 123)
Symmetry-distinct sites (fractional):
Li1 0.000 0.000 0.000
Li2 0.000 0.500 0.214
Li3 0.500 0.500 0.000
Pr1 0.000 0.000 0.500
Au1 0.500 0.500 0.370

Record 5
For Li6PtAu5, a cell relaxed with PBE gives the theoretical powder XRD pattern in this record (Cu Ka).
Neutral-atom scattering factors, no anomalous dispersion.

The 6 most intense peaks (5 to 70 degrees two-theta), low angle first:
3.701 Å, intensity 96, (2 0 1); 2.849 Å, intensity 100, (0 2 0); 2.265 Å, intensity 29, (2 0 -2); 2.255 Å, intensity 88, (6 0 0); 2.015 Å, intensity 42, (4 2 -1); 1.772 Å, intensity 25, (2 2 -2)

Cell and atoms:
Cell: 13.572 5.691 4.684 Å, 90.00 94.75 90.00°
Space group C2/m (No. 12)
Symmetry-distinct sites (fractional):
Li1 0.000 0.242 0.000
Li2 0.163 0.246 0.668
Pt1 0.000 0.000 0.500
Au1 0.000 0.500 0.500
Au2 0.167 0.000 0.176
Au3 0.168 0.500 0.166

Record 6
For Li2PtAu, a cell relaxed with PBE gives the theoretical powder XRD pattern in this record (Cu Ka).
Neutral-atom scattering factors, no anomalous dispersion.

The 6 most intense peaks (5 to 70 degrees two-theta), low angle first:
3.648 Å, intensity 100, (2 0 -1); 2.826 Å, intensity 52, (2 0 1); 2.812 Å, intensity 52, (0 2 0); 2.234 Å, intensity 61, (4 0 0); 2.227 Å, intensity 60, (2 2 -1); 1.749 Å, intensity 52, (4 2 0)

Cell and atoms:
Cell: 9.224 5.624 4.617 Å, 90.00 104.46 90.00°
Space group C2/m (No. 12)
Symmetry-distinct sites (fractional):
Li1 0.125 0.244 0.249
Pt1 0.123 0.000 0.743
Au1 0.127 0.500 0.756

Record 7
For Li4Pt4Au, a cell relaxed with PBE gives the theoretical powder XRD pattern in this record (Cu Ka).
Neutral-atom scattering factors, no anomalous dispersion.

The 6 most intense peaks (5 to 70 degrees two-theta), low angle first:
4.074 Å, intensity 35, (2 0 0); 3.586 Å, intensity 51, (1 0 1); 2.577 Å, intensity 22, (3 1 0); 2.246 Å, intensity 100, (3 0 1); 1.921 Å, intensity 31, (3 3 0); 1.384 Å, intensity 22, (3 3 2)

Cell and atoms:
Cell: 8.149 8.149 3.994 Å, 90.00 90.00 90.00°
Space group I4/mmm (No. 139)
Symmetry-distinct sites (fractional):
Li1 0.171 0.171 0.000
Pt1 0.000 0.334 0.500
Au1 0.000 0.000 0.500

Record 8
For Li6PtAu12, a cell relaxed with PBE gives the theoretical powder XRD pattern in this record (Cu Ka).
Neutral-atom scattering factors, no anomalous dispersion.

The 6 most intense peaks (5 to 70 degrees two-theta), low angle first:
4.380 Å, intensity 28, (0 2 1); 3.819 Å, intensity 46, (0 1 2); 3.533 Å, intensity 34, (2 1 1); 2.490 Å, intensity 42, (2 -1 3); 2.259 Å, intensity 100, (1 4 0); 2.145 Å, intensity 35, (0 3 3)

Cell and atoms:
Cell: 11.9537 11.9537 8.2173 Å, 90.00 90.00 120.00°
Space group R-3 (No. 148, hexagonal axes)
Symmetry-distinct sites (fractional):
Li1 0.0415 0.1887 0.2536
Pt1 0.0000 0.0000 0.5000
Au1 0.0414 0.2413 0.5710
Au2 0.0637 0.2396 0.9328